Starting from a GGA+U-relaxed structure, the PXRD pattern of BaU2NiO8 was calculated for Cu Ka.
Kinematic intensities with the Lorentz-polarization factor, no thermal factor.

Structural model:
```
data_BaU2NiO8
_space_group_name_H-M_alt 'P 1 2/m 1'
_space_group_IT_number 10
_cell_length_a 5.1763
_cell_length_b 7.0886
_cell_length_c 5.1863
_cell_angle_alpha 90.00
_cell_angle_beta 95.85
_cell_angle_gamma 90.00
loop_
_space_group_symop_operation_xyz
'x,y,z'
'-x,-y,-z'
'-x,y,-z'
'x,-y,z'
loop_
_atom_site_label
_atom_site_fract_x
_atom_site_fract_y
_atom_site_fract_z
Ba1 0.0000 0.0000 0.0000
U1 0.5000 0.2604 0.5000
Ni1 0.0000 0.5000 0.0000
O1 0.2159 0.2947 0.2177
O2 0.3286 0.5000 0.6724
O3 0.3418 0.0000 0.6605
```

Main lines, in order of rising 2θ (2θ = 10–80°):
(1 0 0), 17.20 deg, d = 5.154 Å, rel. 41; (1 0 -1), 23.13 deg, d = 3.846 Å, rel. 66; (1 0 1), 25.66 deg, d = 3.472 Å, rel. 47; (0 2 1), 30.61 deg, d = 2.920 Å, rel. 100; (1 2 -1), 34.41 deg, d = 2.606 Å, rel. 12; (2 0 0), 34.81 deg, d = 2.577 Å, rel. 31; (1 2 -2), 45.58 deg, d = 1.990 Å, rel. 46; (1 2 2), 48.44 deg, d = 1.879 Å, rel. 33; (0 2 3), 59.77 deg, d = 1.547 Å, rel. 11; (2 4 0), 63.73 deg, d = 1.460 Å, rel. 12